1.
Simulated powder X-ray diffraction pattern of CaSnRh3 for Cu Kα X-rays, from the PBE geometry in Alexandria.

Principal peaks in the range 2θ from 10° to 90°, sorted by position:
hkl, d (Å), 2θ/deg, I_rel
1 0 1, 4.735, 18.74, 53
0 0 2, 4.613, 19.24, 44
1 2 1, 2.917, 30.64, 51
2 1 1, 2.489, 36.08, 58
0 3 1, 2.385, 37.71, 69
2 0 2, 2.368, 38.01, 65
0 0 4, 2.306, 39.05, 64
1 2 3, 2.175, 41.53, 73
2 2 2, 1.995, 45.47, 100
0 3 3, 1.925, 47.20, 29

Structure:
```
data_CaSnRh3
_cell_length_a 5.5171
_cell_length_b 7.4080
_cell_length_c 9.2258
_cell_angle_alpha 90.00
_cell_angle_beta 90.00
_cell_angle_gamma 90.00
_symmetry_space_group_name_H-M 'I m m a'
_symmetry_Int_Tables_number 74
_symmetry_space_group_name_Hall '-I 2b 2'
loop_
_atom_site_label
_atom_site_type_symbol
_atom_site_fract_x
_atom_site_fract_y
_atom_site_fract_z
Ca1 Ca 0.0000 0.2500 0.0026
Sn1 Sn 0.0000 0.0000 0.5000
Rh1 Rh 0.0000 0.2500 0.7047
Rh2 Rh 0.2500 0.0599 0.2500
```

***

2.
Simulated powder X-ray diffraction pattern of Ca2Sn4Rh5 for Cu Kα X-rays, from the PBE geometry in Alexandria.

Principal peaks in the range 2θ from 10° to 90°, sorted by position:
hkl, d (Å), 2θ/deg, I_rel
0 2 0, 5.061, 17.52, 68
1 1 1, 4.877, 18.19, 61
1 3 1, 2.885, 31.00, 29
1 3 3, 2.565, 34.99, 89
2 0 4, 2.378, 37.83, 79
2 2 4, 2.153, 41.97, 100
0 4 4, 2.133, 42.37, 43
0 0 8, 1.982, 45.77, 34
2 6 0, 1.467, 63.40, 26
2 6 8, 1.179, 81.65, 25

Structure:
```
data_Ca2Sn4Rh5
_cell_length_a 5.9432
_cell_length_b 10.1217
_cell_length_c 15.8595
_cell_angle_alpha 90.00
_cell_angle_beta 90.00
_cell_angle_gamma 90.00
_symmetry_space_group_name_H-M 'F m m m'
_symmetry_Int_Tables_number 69
_symmetry_space_group_name_Hall '-F 2 2'
loop_
_atom_site_label
_atom_site_type_symbol
_atom_site_fract_x
_atom_site_fract_y
_atom_site_fract_z
Ca1 Ca 0.0000 0.0000 0.1131
Sn1 Sn 0.0000 0.1601 0.3707
Rh1 Rh 0.0000 0.0000 0.5000
Rh2 Rh 0.2500 0.2500 0.0000
Rh3 Rh 0.2500 0.2500 0.2500
```

***

3.
Simulated powder X-ray diffraction pattern of Ca2Sn6Rh for Cu Kα X-rays, from the PBE geometry in Alexandria.

Principal peaks in the range 2θ from 10° to 90°, sorted by position:
hkl, d (Å), 2θ/deg, I_rel
0 2 0, 8.789, 10.06, 54
1 1 0, 6.668, 13.28, 37
2 0 0, 3.603, 24.71, 36
1 1 1, 3.339, 26.70, 53
0 6 0, 2.930, 30.51, 34
0 4 1, 2.900, 30.84, 100
2 2 1, 2.523, 35.58, 71
2 4 1, 2.259, 39.91, 96
3 3 0, 2.223, 40.59, 42
0 0 2, 1.929, 47.12, 42

Structure:
```
data_Ca2Sn6Rh
_cell_length_a 7.2069
_cell_length_b 17.5773
_cell_length_c 3.8592
_cell_angle_alpha 90.00
_cell_angle_beta 90.00
_cell_angle_gamma 90.00
_symmetry_space_group_name_H-M 'C m m m'
_symmetry_Int_Tables_number 65
_symmetry_space_group_name_Hall '-C 2 2'
loop_
_atom_site_label
_atom_site_type_symbol
_atom_site_fract_x
_atom_site_fract_y
_atom_site_fract_z
Ca1 Ca 0.0000 0.2187 0.0000
Sn1 Sn 0.1987 0.3625 0.5000
Sn2 Sn 0.2223 0.0000 0.0000
Rh1 Rh 0.0000 0.5000 0.5000
```

***

4.
Simulated powder X-ray diffraction pattern of Ca2ZnSn3Rh4 for Cu Kα X-rays, from the PBE geometry in Alexandria.

Principal peaks in the range 2θ from 10° to 90°, sorted by position:
hkl, d (Å), 2θ/deg, I_rel
0 0 2, 5.438, 16.30, 42
1 0 1, 4.072, 21.83, 66
1 0 3, 2.796, 32.01, 56
1 1 2, 2.696, 33.23, 100
2 0 0, 2.196, 41.11, 90
1 1 4, 2.046, 44.28, 98
1 0 5, 1.949, 46.60, 30
2 1 3, 1.727, 53.03, 26
2 2 0, 1.553, 59.54, 30
3 1 4, 1.237, 77.13, 39

Structure:
```
data_Ca2ZnSn3Rh4
_cell_length_a 4.3913
_cell_length_b 4.3913
_cell_length_c 10.8754
_cell_angle_alpha 90.00
_cell_angle_beta 90.00
_cell_angle_gamma 90.00
_symmetry_space_group_name_H-M 'P -4 m 2'
_symmetry_Int_Tables_number 115
loop_
_symmetry_equiv_pos_as_xyz
'x,y,z'
'y,-x,-z'
'-x,-y,z'
'-y,x,-z'
'-x,y,z'
'-y,-x,-z'
'x,-y,z'
'y,x,-z'
loop_
_atom_site_label
_atom_site_type_symbol
_atom_site_fract_x
_atom_site_fract_y
_atom_site_fract_z
Ca1 Ca 0.0000 0.5000 0.2480
Zn1 Zn 0.5000 0.5000 0.0000
Sn1 Sn 0.0000 0.0000 0.0000
Sn2 Sn 0.0000 0.5000 0.6318
Rh1 Rh 0.0000 0.0000 0.5000
Rh2 Rh 0.0000 0.5000 0.8702
Rh3 Rh 0.5000 0.5000 0.5000
```

***

5.
Simulated powder X-ray diffraction pattern of SrCa3Rh for Cu Kα X-rays, from the PBE geometry in Alexandria.

Principal peaks in the range 2θ from 10° to 90°, sorted by position:
hkl, d (Å), 2θ/deg, I_rel
1 0 0, 6.968, 12.70, 55
0 1 0, 6.863, 12.90, 50
1 -1 0, 4.875, 18.20, 69
0 1 -1, 4.039, 22.01, 43
1 2 0, 3.086, 28.93, 100
1 0 -2, 3.071, 29.08, 66
-2 1 1, 3.057, 29.21, 31
2 2 2, 2.390, 37.64, 60
-1 3 1, 2.375, 37.89, 40
3 1 -1, 2.013, 45.02, 54

Structure:
```
data_SrCa3Rh
_cell_length_a 6.9685
_cell_length_b 7.6593
_cell_length_c 7.6611
_cell_angle_alpha 63.64
_cell_angle_beta 89.44
_cell_angle_gamma 89.43
_symmetry_space_group_name_H-M 'P 1'
_symmetry_Int_Tables_number 1
loop_
_symmetry_equiv_pos_as_xyz
'x,y,z'
loop_
_atom_site_label
_atom_site_type_symbol
_atom_site_fract_x
_atom_site_fract_y
_atom_site_fract_z
Sr1 Sr 0.0000 0.0000 0.0000
Sr2 Sr 0.3489 0.2577 0.2560
Ca1 Ca 0.3315 0.7499 0.7483
Ca2 Ca 0.5152 0.2558 0.7518
Ca3 Ca 0.5152 0.7525 0.2553
Ca4 Ca 0.8399 0.0017 0.5062
Ca5 Ca 0.8400 0.5067 0.0010
Ca6 Ca 0.9923 0.5084 0.5083
Rh1 Rh 0.6598 0.8692 0.8689
Rh2 Rh 0.6720 0.6353 0.6346
```

***

6.
Simulated powder X-ray diffraction pattern of SrCa3Rh for Cu Kα X-rays, from the PBE geometry in Alexandria.

Principal peaks in the range 2θ from 10° to 90°, sorted by position:
hkl, d (Å), 2θ/deg, I_rel
0 1 0, 6.729, 13.16, 100
0 1 1, 6.277, 14.11, 55
-1 1 1, 3.904, 22.78, 55
1 0 2, 3.204, 27.85, 48
1 0 -2, 3.048, 29.30, 54
2 2 1, 2.967, 30.13, 47
2 2 2, 2.723, 32.89, 47
1 -2 0, 2.677, 33.47, 53
0 2 -1, 2.668, 33.59, 56
-1 2 2, 2.517, 35.67, 47

Structure:
```
data_SrCa3Rh
_cell_length_a 6.8384
_cell_length_b 7.7783
_cell_length_c 7.9154
_cell_angle_alpha 64.69
_cell_angle_beta 78.80
_cell_angle_gamma 70.08
_symmetry_space_group_name_H-M 'P 1'
_symmetry_Int_Tables_number 1
loop_
_symmetry_equiv_pos_as_xyz
'x,y,z'
loop_
_atom_site_label
_atom_site_type_symbol
_atom_site_fract_x
_atom_site_fract_y
_atom_site_fract_z
Sr1 Sr 0.0000 0.0000 0.0000
Sr2 Sr 0.0430 0.4890 0.5782
Ca1 Ca 0.0744 0.0206 0.4808
Ca2 Ca 0.4873 0.4820 0.8018
Ca3 Ca 0.5215 0.7436 0.2892
Ca4 Ca 0.5222 0.2435 0.2895
Ca5 Ca 0.5561 0.0063 0.7771
Ca6 Ca 0.9697 0.4676 0.0980
Rh1 Rh 0.3121 0.1534 0.0673
Rh2 Rh 0.7319 0.3343 0.5117
```

***

7.
Simulated powder X-ray diffraction pattern of SrCa3Rh8 for Cu Kα X-rays, from the PBE geometry in Alexandria.

Principal peaks in the range 2θ from 10° to 90°, sorted by position:
hkl, d (Å), 2θ/deg, I_rel
0 1 2, 4.399, 20.19, 42
1 1 0, 2.694, 33.26, 11
2 0 2, 2.297, 39.22, 100
0 2 4, 2.199, 41.04, 63
2 0 8, 1.905, 47.75, 17
3 0 6, 1.466, 63.46, 23
0 2 16, 1.348, 69.77, 15
2 2 0, 1.346, 69.89, 15
1 3 10, 1.161, 83.18, 8
4 0 4, 1.148, 84.35, 17

Structure:
```
data_SrCa3Rh8
_cell_length_a 5.3835
_cell_length_b 5.3835
_cell_length_c 26.4342
_cell_angle_alpha 90.00
_cell_angle_beta 90.00
_cell_angle_gamma 120.00
_symmetry_space_group_name_H-M 'R 3 m'
_symmetry_Int_Tables_number 160
_symmetry_space_group_name_Hall 'R 3 -2"'
loop_
_atom_site_label
_atom_site_type_symbol
_atom_site_fract_x
_atom_site_fract_y
_atom_site_fract_z
Sr1 Sr 0.0000 0.0000 0.0000
Ca1 Ca 0.0000 0.0000 0.1256
Ca2 Ca 0.0000 0.0000 0.5002
Ca3 Ca 0.0000 0.0000 0.6243
Rh1 Rh 0.0000 0.0000 0.3124
Rh2 Rh 0.0000 0.0000 0.8127
Rh3 Rh 0.0019 0.5010 0.0640
Rh4 Rh 0.1679 0.3359 0.8946
```

***

8.
Simulated powder X-ray diffraction pattern of Sr4CaRh for Cu Kα X-rays, from the PBE geometry in Alexandria.

Principal peaks in the range 2θ from 10° to 90°, sorted by position:
hkl, d (Å), 2θ/deg, I_rel
1 0 1, 4.666, 19.02, 50
1 1 0, 3.740, 23.79, 26
1 1 2, 2.985, 29.94, 100
2 0 0, 2.644, 33.90, 65
2 0 1, 2.555, 35.12, 21
1 1 3, 2.475, 36.29, 71
2 0 3, 2.064, 43.85, 31
2 2 0, 1.870, 48.70, 23
3 1 2, 1.585, 58.21, 42
3 1 3, 1.492, 62.22, 30

Structure:
```
data_Sr4CaRh
_cell_length_a 5.2887
_cell_length_b 5.2887
_cell_length_c 9.9077
_cell_angle_alpha 90.00
_cell_angle_beta 90.00
_cell_angle_gamma 90.00
_symmetry_space_group_name_H-M 'P 4/m m m'
_symmetry_Int_Tables_number 123
_symmetry_space_group_name_Hall '-P 4 2'
loop_
_atom_site_label
_atom_site_type_symbol
_atom_site_fract_x
_atom_site_fract_y
_atom_site_fract_z
Sr1 Sr 0.0000 0.5000 0.1798
Ca1 Ca 0.0000 0.0000 0.5000
Rh1 Rh 0.5000 0.5000 0.0000
```